Diffraction record for PaFe4As12. The XRD peak list is calculated, not measured: it uses a GGA-PBE-relaxed structure and copper Kα.
Peak positions follow from Bragg's law for the DFT cell and can differ from measured ones.

Crystal structure
Lattice parameters (Å, degrees): 7.203 7.203 7.203 109.47 109.47 109.47
Element x y z (fractional)
Pa 0.000 0.000 0.000
Fe 0.000 0.000 0.500
Fe 0.000 0.500 0.000
Fe 0.500 0.000 0.000
Fe 0.500 0.500 0.500
As 0.156 0.340 0.496
As 0.156 0.660 0.816
As 0.184 0.844 0.340
As 0.340 0.184 0.844
As 0.340 0.496 0.156
As 0.496 0.156 0.340
As 0.504 0.844 0.660
As 0.660 0.504 0.844
As 0.660 0.816 0.156
As 0.816 0.156 0.660
As 0.844 0.340 0.184
As 0.844 0.660 0.504

Largest 12 diffraction maxima, by angle, 2θ = 10–90°:
| 2θ/deg | d_spacing | I_rel |
| --- | --- | --- |
| 15.06 | 5.882 | 17 |
| 26.24 | 3.396 | 8 |
| 30.39 | 2.941 | 12 |
| 34.09 | 2.630 | 100 |
| 40.58 | 2.223 | 63 |
| 54.01 | 1.698 | 32 |
| 56.41 | 1.631 | 34 |
| 65.43 | 1.426 | 10 |
| 67.57 | 1.386 | 11 |
| 69.69 | 1.349 | 9 |
| 77.89 | 1.226 | 17 |
| 89.80 | 1.092 | 9 |

Diffraction record for Hg2TeAu. The XRD peak list is calculated, not measured: it uses a GGA-PBE-relaxed structure and copper Kα.
Peak positions follow from Bragg's law for the DFT cell and can differ from measured ones.

Crystal structure
Lattice parameters (Å, degrees): 5.351 5.351 5.351 126.04 126.04 79.83
Element x y z (fractional)
Hg 0.000 0.000 0.000
Hg 0.750 0.250 0.500
Te 0.250 0.750 0.500
Au 0.500 0.500 0.000

Largest 12 diffraction maxima, by angle, 2θ = 10–90°:
| 2θ/deg | d_spacing | I_rel |
| --- | --- | --- |
| 21.26 | 4.179 | 3 |
| 34.04 | 2.633 | 100 |
| 37.03 | 2.428 | 40 |
| 43.09 | 2.099 | 1 |
| 44.13 | 2.052 | 12 |
| 53.37 | 1.717 | 14 |
| 58.93 | 1.567 | 21 |
| 64.83 | 1.438 | 32 |
| 71.67 | 1.317 | 12 |
| 74.68 | 1.271 | 11 |
| 78.85 | 1.214 | 5 |
| 88.74 | 1.102 | 7 |

Diffraction record for RbNpNiSe4. The XRD peak list is calculated, not measured: it uses a GGA-PBE-relaxed structure and copper Kα.
Peak positions follow from Bragg's law for the DFT cell and can differ from measured ones.

Crystal structure
Lattice parameters (Å, degrees): 6.950 5.824 9.614 90.00 105.31 90.00
Element x y z (fractional)
Rb 0.245 0.250 0.050
Rb 0.755 0.750 0.950
Np 0.264 0.250 0.549
Np 0.736 0.750 0.451
Ni 0.252 0.750 0.345
Ni 0.748 0.250 0.655
Se 0.014 0.508 0.700
Se 0.014 0.992 0.700
Se 0.422 0.750 0.586
Se 0.460 0.750 0.190
Se 0.540 0.250 0.810
Se 0.578 0.250 0.414
Se 0.986 0.008 0.300
Se 0.986 0.492 0.300

Largest 12 diffraction maxima, by angle, 2θ = 10–90°:
| 2θ/deg | d_spacing | I_rel |
| --- | --- | --- |
| 17.99 | 4.932 | 38 |
| 20.20 | 4.396 | 71 |
| 26.10 | 3.415 | 46 |
| 28.44 | 3.138 | 96 |
| 30.34 | 2.946 | 100 |
| 30.70 | 2.912 | 55 |
| 32.41 | 2.763 | 58 |
| 33.55 | 2.671 | 56 |
| 36.44 | 2.466 | 50 |
| 37.03 | 2.428 | 55 |
| 40.23 | 2.242 | 42 |
| 41.06 | 2.198 | 56 |

Diffraction record for Ce2Ga5Co. The XRD peak list is calculated, not measured: it uses a GGA-PBE-relaxed structure and copper Kα.
Peak positions follow from Bragg's law for the DFT cell and can differ from measured ones.

Crystal structure
Lattice parameters (Å, degrees): 6.217 6.217 6.217 121.81 121.81 86.89
Element x y z (fractional)
Ce 0.000 0.500 0.500
Ce 0.500 0.000 0.500
Ga 0.025 0.025 0.555
Ga 0.025 0.470 0.000
Ga 0.029 0.029 0.000
Ga 0.470 0.025 0.000
Ga 0.470 0.470 0.445
Co 0.768 0.768 0.000

Largest 12 diffraction maxima, by angle, 2θ = 10–90°:
| 2θ/deg | d_spacing | I_rel |
| --- | --- | --- |
| 17.66 | 5.024 | 12 |
| 20.78 | 4.275 | 11 |
| 28.76 | 3.104 | 44 |
| 35.75 | 2.512 | 100 |
| 39.95 | 2.257 | 27 |
| 42.28 | 2.138 | 45 |
| 51.94 | 1.761 | 13 |
| 59.57 | 1.552 | 30 |
| 61.33 | 1.512 | 13 |
| 69.82 | 1.347 | 13 |
| 73.06 | 1.295 | 19 |
| 75.74 | 1.256 | 13 |

Diffraction record for Ti3MnGa6. The XRD peak list is calculated, not measured: it uses a GGA-PBE-relaxed structure and copper Kα.
Peak positions follow from Bragg's law for the DFT cell and can differ from measured ones.

Crystal structure
Lattice parameters (Å, degrees): 5.370 5.370 7.681 113.68 113.68 58.84
Element x y z (fractional)
Ti 0.000 0.000 0.000
Ti 0.134 0.134 0.704
Ti 0.866 0.866 0.296
Mn 0.500 0.500 0.500
Ga 0.118 0.625 0.670
Ga 0.332 0.332 0.105
Ga 0.375 0.882 0.330
Ga 0.625 0.118 0.670
Ga 0.668 0.668 0.895
Ga 0.882 0.375 0.330

Largest 12 diffraction maxima, by angle, 2θ = 10–90°:
| 2θ/deg | d_spacing | I_rel |
| --- | --- | --- |
| 25.02 | 3.559 | 31 |
| 33.43 | 2.681 | 24 |
| 36.52 | 2.460 | 25 |
| 36.97 | 2.431 | 28 |
| 39.05 | 2.307 | 50 |
| 39.34 | 2.290 | 100 |
| 39.84 | 2.263 | 47 |
| 41.31 | 2.186 | 31 |
| 42.66 | 2.119 | 22 |
| 43.40 | 2.085 | 23 |
| 44.08 | 2.054 | 25 |
| 45.90 | 1.977 | 32 |

Diffraction record for Er6InNi. The XRD peak list is calculated, not measured: it uses a GGA-PBE-relaxed structure and copper Kα.
Peak positions follow from Bragg's law for the DFT cell and can differ from measured ones.

Crystal structure
Lattice parameters (Å, degrees): 6.889 6.892 7.132 90.04 118.82 119.96
Element x y z (fractional)
Er 0.051 0.080 0.259
Er 0.288 0.709 0.259
Er 0.319 0.528 0.741
Er 0.681 0.472 0.259
Er 0.712 0.291 0.741
Er 0.949 0.920 0.741
In 0.500 0.000 0.000
Ni 0.500 0.500 0.500

Largest 12 diffraction maxima, by angle, 2θ = 10–90°:
| 2θ/deg | d_spacing | I_rel |
| --- | --- | --- |
| 24.99 | 3.564 | 11 |
| 25.85 | 3.446 | 9 |
| 30.00 | 2.979 | 100 |
| 30.17 | 2.962 | 17 |
| 30.37 | 2.943 | 11 |
| 31.63 | 2.829 | 11 |
| 40.15 | 2.246 | 31 |
| 41.29 | 2.187 | 9 |
| 45.60 | 1.990 | 22 |
| 53.49 | 1.713 | 19 |
| 55.55 | 1.654 | 11 |
| 55.65 | 1.652 | 9 |